Starting from DFT lattice parameters and positions (PBE), the XRD peak list of PuPa3N6 was simulated for copper Kα.

Structural model:
```
PuPa3N6
1.0
3.8724 -5.5404 0.0000
3.8724 5.5404 0.0000
0.0000 0.0000 3.6415
Pu Pa N
1 3 6
direct
0.0000 0.0000 0.0000
0.0000 0.5000 0.5000
0.5000 0.0000 0.5000
0.5000 0.5000 0.0000
0.1384 0.8616 0.5000
0.1629 0.4209 0.0000
0.4209 0.1629 0.0000
0.5791 0.8371 0.0000
0.8371 0.5791 0.0000
0.8616 0.1384 0.5000
```

Most intense lines, 10 to 90 degrees two-theta, sorted by position:
- 28.1°, intensity 100
- 29.4°, intensity 91
- 32.3°, intensity 29
- 33.8°, intensity 53
- 46.9°, intensity 14
- 47.5°, intensity 57
- 55.1°, intensity 16
- 55.8°, intensity 15
- 56.3°, intensity 30
- 58.1°, intensity 13
- 58.4°, intensity 27
- 75.8°, intensity 13